Entry 1:
For KSmGeSe4, the PBE geometry in the Materials Project gives the theoretical powder X-ray diffraction pattern in this record (CuKα).
Peak positions follow from Bragg's law for the DFT cell and can differ from measured ones.

Structural model:
```
data_KSmGeSe4
_cell_length_a 6.899
_cell_length_b 7.113
_cell_length_c 9.160
_cell_angle_alpha 90.00
_cell_angle_beta 107.67
_cell_angle_gamma 90.00
_symmetry_space_group_name_H-M 'P 1 21 1'
_symmetry_Int_Tables_number 4
loop_
_symmetry_equiv_pos_as_xyz
'x,y,z'
'-x,y+1/2,-z'
loop_
_atom_site_label
_atom_site_type_symbol
_atom_site_fract_x
_atom_site_fract_y
_atom_site_fract_z
_atom_site_occupancy
K1 K 0.245 0.000 0.438 1
Sm1 Sm 0.271 0.996 0.949 1
Ge1 Ge 0.277 0.529 0.174 1
Se1 Se 0.066 0.602 0.922 1
Se2 Se 0.074 0.533 0.339 1
Se3 Se 0.467 0.269 0.776 1
Se4 Se 0.486 0.255 0.206 1
```

Main lines, low angle first (2θ = 15–90°):
(0 1 1), 2θ 16.1, 5.514 Å, intensity 55
(0 2 0), 2θ 25.0, 3.557 Å, intensity 31
(1 0 2), 2θ 27.8, 3.214 Å, intensity 32
(2 0 -2), 2θ 28.6, 3.124 Å, intensity 100
(1 1 2), 2θ 30.5, 2.929 Å, intensity 77
(2 1 -2), 2θ 31.3, 2.857 Å, intensity 62
(0 2 2), 2θ 32.5, 2.757 Å, intensity 33
(1 2 -2), 2θ 32.7, 2.736 Å, intensity 42
(2 2 0), 2θ 37.3, 2.414 Å, intensity 50
(1 0 -4), 2θ 39.4, 2.289 Å, intensity 44

---

Entry 2:
For LaGe5, the PBE geometry in the Materials Project gives the theoretical powder X-ray diffraction pattern in this record (CuKα).
Peak positions follow from Bragg's law for the DFT cell and can differ from measured ones.

Structural model:
```
data_LaGe5
_cell_length_a 4.052
_cell_length_b 6.342
_cell_length_c 10.056
_cell_angle_alpha 90.00
_cell_angle_beta 90.00
_cell_angle_gamma 90.00
_symmetry_space_group_name_H-M 'I m m m'
_symmetry_Int_Tables_number 71
_symmetry_space_group_name_Hall '-I 2 2'
loop_
_atom_site_label
_atom_site_type_symbol
_atom_site_fract_x
_atom_site_fract_y
_atom_site_fract_z
_atom_site_occupancy
La1 La 0.000 0.000 0.000 1
Ge1 Ge 0.000 0.202 0.328 1
Ge2 Ge 0.000 0.500 0.000 1
```

Main lines, low angle first (2θ = 15–90°):
(1 1 0), 2θ 26.1, 3.415 Å, intensity 18
(0 1 3), 2θ 30.2, 2.963 Å, intensity 12
(0 2 2), 2θ 33.4, 2.682 Å, intensity 52
(1 0 3), 2θ 34.7, 2.583 Å, intensity 100
(1 2 1), 2θ 37.1, 2.424 Å, intensity 69
(2 0 0), 2θ 44.7, 2.026 Å, intensity 25
(0 2 4), 2θ 46.1, 1.970 Å, intensity 16
(0 0 6), 2θ 54.8, 1.676 Å, intensity 13
(2 2 2), 2θ 57.0, 1.617 Å, intensity 22
(1 2 5), 2θ 59.0, 1.566 Å, intensity 22